Record 1
Computed X-ray diffraction stick pattern of TbDy2Ga2 for copper Kα, from a DFT-relaxed cell (PBE, Alexandria).
Lines closer than 0.1° are merged.

Principal peaks in the range 2θ = 10–80°, in order of falling intensity:
- 2θ 33.35, 2.687 Å, I = 100
- 2θ 31.17, 2.870 Å, I = 67
- 2θ 37.20, 2.417 Å, I = 46
- 2θ 56.99, 1.616 Å, I = 27
- 2θ 41.57, 2.173 Å, I = 24
- 2θ 55.19, 1.664 Å, I = 19
- 2θ 26.32, 3.387 Å, I = 18
- 2θ 33.15, 2.703 Å, I = 16
- 2θ 53.76, 1.705 Å, I = 15
- 2θ 65.91, 1.417 Å, I = 15

Crystal structure
```
TbDy2Ga2
1.0
7.6441 0.0000 0.0000
0.0000 7.6441 0.0000
0.0000 0.0000 4.3452
Tb Dy Ga
2 4 4
direct
0.0000 0.0000 0.0000
0.5000 0.5000 0.0000
0.1742 0.3258 0.5000
0.3258 0.8258 0.5000
0.6742 0.1742 0.5000
0.8258 0.6742 0.5000
0.1196 0.6196 0.0000
0.3804 0.1196 0.0000
0.6196 0.8804 0.0000
0.8804 0.3804 0.0000
```

Record 2
Computed X-ray diffraction stick pattern of Ac12Ru5Rh2 for copper Kα, from a DFT-relaxed cell (PBE, Alexandria).
Lines closer than 0.1° are merged.

Principal peaks in the range 2θ = 10–80°, in order of falling intensity:
- 2θ 28.83, 3.097 Å, I = 100
- 2θ 27.49, 3.244 Å, I = 98
- 2θ 25.06, 3.554 Å, I = 83
- 2θ 26.96, 3.307 Å, I = 74
- 2θ 45.02, 2.014 Å, I = 71
- 2θ 34.43, 2.605 Å, I = 53
- 2θ 39.65, 2.273 Å, I = 37
- 2θ 27.77, 3.212 Å, I = 36
- 2θ 33.65, 2.664 Å, I = 35
- 2θ 53.27, 1.720 Å, I = 32

Crystal structure
```
Ac12Ru5Rh2
1.0
7.9296 -4.0265 0.0000
7.9296 4.0265 0.0000
-3.0069 0.0000 9.9219
Ac Ru Rh
12 5 2
direct
0.0279 0.0279 0.3241
0.0568 0.5638 0.3531
0.1226 0.6156 0.9948
0.3844 0.8774 0.0052
0.4270 0.4270 0.6796
0.4362 0.9432 0.6469
0.5638 0.0568 0.3531
0.5730 0.5730 0.3204
0.6156 0.1226 0.9948
0.8774 0.3844 0.0052
0.9432 0.4362 0.6469
0.9721 0.9721 0.6759
0.2030 0.2030 0.8854
0.2206 0.2206 0.4468
0.5000 0.5000 0.0000
0.7794 0.7794 0.5532
0.7970 0.7970 0.1146
0.2892 0.7108 0.5000
0.7108 0.2892 0.5000
```

Record 3
Computed X-ray diffraction stick pattern of CaCd2Au6 for copper Kα, from a DFT-relaxed cell (PBE, Alexandria).
Lines closer than 0.1° are merged.

Principal peaks in the range 2θ = 10–80°, in order of falling intensity:
- 2θ 38.73, 2.325 Å, I = 100
- 2θ 35.26, 2.545 Å, I = 64
- 2θ 35.05, 2.560 Å, I = 55
- 2θ 36.67, 2.451 Å, I = 52
- 2θ 42.19, 2.142 Å, I = 30
- 2θ 45.87, 1.978 Å, I = 29
- 2θ 65.13, 1.432 Å, I = 22
- 2θ 65.60, 1.423 Å, I = 20
- 2θ 38.93, 2.313 Å, I = 16
- 2θ 20.55, 4.322 Å, I = 14

Crystal structure
```
CaCd2Au6
1.0
2.5877 -7.6358 0.0000
2.5877 7.6358 0.0000
-2.5551 0.0000 4.5221
Ca Cd Au
1 2 6
direct
0.0000 0.0000 0.0000
0.1600 0.8400 0.5000
0.8400 0.1600 0.5000
0.1733 0.5156 0.1736
0.3388 0.3388 0.6689
0.4844 0.8267 0.8264
0.5156 0.1733 0.1736
0.6612 0.6612 0.3311
0.8267 0.4844 0.8264
```